(1)
Structure and simulated powder X-ray diffraction pattern of Mg3Si4 (a structure optimized by DFT (GGA-PBE); Cu Ka).
Neutral-atom scattering factors, no anomalous dispersion.

Top 10 peaks for 10 to 90 degrees two-theta, in order of rising 2θ:
2θ = 32.80°, I 73, (1 2 2); 2θ = 35.10°, I 52, (0 2 -2); 2θ = 35.55°, I 94, (1 -2 1); 2θ = 35.65°, I 100, (1 1 -2); 2θ = 35.80°, I 59, (1 1 3); 2θ = 38.03°, I 60, (0 1 3); 2θ = 38.76°, I 67, (-1 1 2); 2θ = 38.85°, I 76, (1 3 0); 2θ = 39.16°, I 63, (1 -1 3); 2θ = 40.30°, I 54, (0 3 1)

Cell and atoms:
Unit cell a=5.0426 b=7.2407 c=7.9138 alpha=85.25 beta=71.88 gamma=75.74
Space group P1 (No. 1)
Inequivalent atoms, fractional coordinates:
Mg 0.0000 0.0000 0.0000 [1 per cell]
Mg 0.0342 0.6594 0.7682 [1 per cell]
Mg 0.1368 0.6930 0.3586 [1 per cell]
Mg 0.3642 0.2373 0.1987 [1 per cell]
Mg 0.5254 0.1124 0.7366 [1 per cell]
Mg 0.8084 0.5122 0.1688 [1 per cell]
Si 0.0011 0.3559 0.5687 [1 per cell]
Si 0.1568 0.9908 0.5649 [1 per cell]
Si 0.3513 0.5838 0.9984 [1 per cell]
Si 0.5037 0.4121 0.4968 [1 per cell]
Si 0.5235 0.8623 0.0345 [1 per cell]
Si 0.6019 0.8832 0.3267 [1 per cell]
Si 0.7738 0.3392 0.8820 [1 per cell]
Si 0.8504 0.1295 0.3593 [1 per cell]



(2)
Structure and simulated powder X-ray diffraction pattern of Mg5Si6 (a structure optimized by DFT (GGA-PBE); Cu Ka).
Neutral-atom scattering factors, no anomalous dispersion.

Top 10 peaks for 10 to 90 degrees two-theta, in order of rising 2θ:
2θ = 33.33°, I 70, (1 0 4); 2θ = 34.22°, I 60, (2 0 -2); 2θ = 34.70°, I 100, (1 1 3); 2θ = 36.42°, I 66, (2 0 -3); 2θ = 36.64°, I 72, (1 -2 1); 2θ = 37.81°, I 58, (2 1 -2); 2θ = 37.95°, I 82, (-1 2 1); 2θ = 38.19°, I 61, (1 2 0); 2θ = 39.43°, I 75, (1 0 5); 2θ = 42.66°, I 52, (0 2 -5)

Cell and atoms:
Unit cell a=5.3928 b=5.4765 c=13.9876 alpha=100.41 beta=98.41 gamma=91.17
Space group P1 (No. 1)
Inequivalent atoms, fractional coordinates:
Mg 0.0000 0.0000 0.0000 [1 per cell]
Mg 0.0246 0.5519 0.1258 [1 per cell]
Mg 0.0766 0.9800 0.6100 [1 per cell]
Mg 0.1797 0.5893 0.7667 [1 per cell]
Mg 0.3334 0.4060 0.4802 [1 per cell]
Mg 0.4419 0.1292 0.8625 [1 per cell]
Mg 0.4793 0.6721 0.0007 [1 per cell]
Mg 0.5687 0.5632 0.2396 [1 per cell]
Mg 0.6013 0.2516 0.6730 [1 per cell]
Mg 0.7624 0.1389 0.3823 [1 per cell]
Si 0.1242 0.3100 0.2882 [1 per cell]
Si 0.1245 0.7738 0.3398 [1 per cell]
Si 0.3456 0.0003 0.1888 [1 per cell]
Si 0.4593 0.9129 0.4803 [1 per cell]
Si 0.5172 0.2106 0.0651 [1 per cell]
Si 0.5923 0.7382 0.6419 [1 per cell]
Si 0.6915 0.6855 0.8270 [1 per cell]
Si 0.7939 0.6522 0.4305 [1 per cell]
Si 0.8106 0.0115 0.1794 [1 per cell]
Si 0.9250 0.4655 0.5770 [1 per cell]
Si 0.9294 0.0580 0.8045 [1 per cell]
Si 0.9825 0.4567 0.9258 [1 per cell]



(3)
Structure and simulated powder X-ray diffraction pattern of Mg3Si4 (a structure optimized by DFT (GGA-PBE); Cu Ka).
Neutral-atom scattering factors, no anomalous dispersion.

Top 10 peaks for 10 to 90 degrees two-theta, in order of rising 2θ:
2θ = 28.59°, I 31, (1 -1 2); 2θ = 30.46°, I 49, (1 -2 2); 2θ = 34.62°, I 50, (-1 1 2); 2θ = 34.97°, I 65, (1 2 -1); 2θ = 35.36°, I 100, (2 -1 1); 2θ = 35.52°, I 96, (0 2 -3); 2θ = 37.41°, I 41, (0 2 1); 2θ = 39.17°, I 67, (2 0 -2); 2θ = 39.68°, I 53, (0 3 -1); 2θ = 42.05°, I 36, (-2 2 1)

Cell and atoms:
Unit cell a=5.4667 b=7.2674 c=7.9622 alpha=116.79 beta=92.61 gamma=106.25
Space group P1 (No. 1)
Inequivalent atoms, fractional coordinates:
Mg 0.0000 0.0000 0.0000 [1 per cell]
Mg 0.0036 0.4521 0.3077 [1 per cell]
Mg 0.2872 0.8413 0.2466 [1 per cell]
Mg 0.4443 0.6270 0.8321 [1 per cell]
Mg 0.7091 0.8225 0.5468 [1 per cell]
Mg 0.8874 0.3608 0.8618 [1 per cell]
Si 0.2006 0.1874 0.6086 [1 per cell]
Si 0.2660 0.8866 0.6338 [1 per cell]
Si 0.4399 0.3600 0.2035 [1 per cell]
Si 0.5412 0.0655 0.9499 [1 per cell]
Si 0.5806 0.2948 0.4604 [1 per cell]
Si 0.7201 0.6561 0.1543 [1 per cell]
Si 0.8575 0.0544 0.3436 [1 per cell]
Si 0.9300 0.6195 0.6903 [1 per cell]



(4)
Structure and simulated powder X-ray diffraction pattern of Mg4Si3 (a structure optimized by DFT (GGA-PBE); Cu Ka).
Neutral-atom scattering factors, no anomalous dispersion.

Top 10 peaks for 10 to 90 degrees two-theta, in order of rising 2θ:
2θ = 32.74°, I 92, (0 1 -3); 2θ = 33.28°, I 100, (-2 1 1); 2θ = 34.17°, I 52, (2 0 0); 2θ = 36.40°, I 64, (0 2 1); 2θ = 37.76°, I 48, (0 2 -3); 2θ = 39.70°, I 65, (-1 1 3); 2θ = 40.85°, I 50, (-2 2 1); 2θ = 42.11°, I 94, (2 1 -3); 2θ = 44.33°, I 55, (0 3 -2); 2θ = 46.45°, I 65, (2 -2 2)

Cell and atoms:
Unit cell a=5.6570 b=6.3252 c=8.5510 alpha=106.09 beta=105.19 gamma=100.54
Space group P-1 (No. 2)
Inequivalent atoms, fractional coordinates:
Mg 0.1764 0.0010 0.1620 [2 per cell]
Mg 0.2233 0.6727 0.6780 [2 per cell]
Mg 0.2716 0.4936 0.0490 [2 per cell]
Mg 0.3104 0.1548 0.5876 [2 per cell]
Si 0.0978 0.7049 0.3245 [2 per cell]
Si 0.3285 0.4320 0.3679 [2 per cell]
Si 0.3775 0.0955 0.9139 [2 per cell]



(5)
Structure and simulated powder X-ray diffraction pattern of Mg2Si3 (a structure optimized by DFT (GGA-PBE); Cu Ka).
Neutral-atom scattering factors, no anomalous dispersion.

Top 10 peaks for 10 to 90 degrees two-theta, in order of rising 2θ:
2θ = 33.90°, I 69, (1 1 2); 2θ = 34.55°, I 49, (3 1 -1); 2θ = 35.95°, I 95, (1 1 -3); 2θ = 37.56°, I 33, (4 0 -2); 2θ = 40.07°, I 52, (3 1 -3); 2θ = 41.14°, I 85, (0 2 0); 2θ = 41.68°, I 100, (3 1 1); 2θ = 46.17°, I 26, (4 0 -4); 2θ = 56.92°, I 20, (4 2 -2); 2θ = 71.71°, I 22, (7 1 -3)

Cell and atoms:
Unit cell a=9.6734 b=4.3879 c=9.1559 alpha=90.00 beta=113.59 gamma=90.00
Space group C2/m (No. 12)
Inequivalent atoms, fractional coordinates:
Mg 0.0099 0.0000 0.1826 [4 per cell]
Mg 0.1806 0.0000 0.5956 [4 per cell]
Si 0.0315 0.5000 0.3858 [4 per cell]
Si 0.1397 0.5000 0.0578 [4 per cell]
Si 0.2103 0.5000 0.8379 [4 per cell]



(6)
Structure and simulated powder X-ray diffraction pattern of Mg2Si3 (a structure optimized by DFT (GGA-PBE); Cu Ka).
Neutral-atom scattering factors, no anomalous dispersion.

Top 10 peaks for 10 to 90 degrees two-theta, in order of rising 2θ:
2θ = 33.60°, I 52, (1 -1 0); 2θ = 33.78°, I 100, (-1 1 1); 2θ = 34.10°, I 65, (1 2 2); 2θ = 34.38°, I 57, (0 2 4); 2θ = 35.23°, I 63, (1 2 3); 2θ = 35.44°, I 70, (1 2 -1); 2θ = 37.12°, I 78, (0 2 5); 2θ = 39.02°, I 50, (1 1 -5); 2θ = 46.77°, I 83, (0 3 0); 2θ = 50.43°, I 77, (2 1 1)

Cell and atoms:
Unit cell a=3.6205 b=6.1563 c=17.6615 alpha=80.38 beta=85.50 gamma=73.19
Space group P1 (No. 1)
Inequivalent atoms, fractional coordinates:
Mg 0.0000 0.0000 0.0000 [1 per cell]
Mg 0.0021 0.7602 0.3482 [1 per cell]
Mg 0.1621 0.5214 0.2025 [1 per cell]
Mg 0.3325 0.0683 0.4546 [1 per cell]
Mg 0.5599 0.0866 0.7408 [1 per cell]
Mg 0.6714 0.7458 0.8868 [1 per cell]
Mg 0.8926 0.4825 0.6467 [1 per cell]
Mg 0.9066 0.0510 0.1817 [1 per cell]
Si 0.0263 0.6951 0.5051 [1 per cell]
Si 0.2128 0.8971 0.6127 [1 per cell]
Si 0.2456 0.7015 0.7506 [1 per cell]
Si 0.2736 0.4733 0.9807 [1 per cell]
Si 0.3238 0.1264 0.3006 [1 per cell]
Si 0.4439 0.2130 0.8863 [1 per cell]
Si 0.5615 0.7914 0.1087 [1 per cell]
Si 0.6010 0.1719 0.5879 [1 per cell]
Si 0.6419 0.4498 0.4728 [1 per cell]
Si 0.6928 0.3704 0.3375 [1 per cell]
Si 0.7642 0.4228 0.0693 [1 per cell]
Si 0.8829 0.3949 0.8004 [1 per cell]



(7)
Structure and simulated powder X-ray diffraction pattern of Mg4Si3 (a structure optimized by DFT (GGA-PBE); Cu Ka).
Neutral-atom scattering factors, no anomalous dispersion.

Top 10 peaks for 10 to 90 degrees two-theta, in order of rising 2θ:
2θ = 32.60°, I 45, (-1 2 3); 2θ = 34.36°, I 47, (0 2 3); 2θ = 35.07°, I 100, (1 2 -2); 2θ = 35.24°, I 93, (2 -2 2); 2θ = 37.53°, I 45, (1 2 2); 2θ = 37.60°, I 42, (2 -3 0); 2θ = 38.46°, I 67, (0 2 -4); 2θ = 39.90°, I 51, (-2 1 4); 2θ = 40.49°, I 55, (0 2 4); 2θ = 44.53°, I 39, (1 3 0)

Cell and atoms:
Unit cell a=6.4946 b=7.9836 c=11.6451 alpha=90.76 beta=95.27 gamma=111.55
Space group P1 (No. 1)
Inequivalent atoms, fractional coordinates:
Mg 0.0000 0.0000 0.0000 [1 per cell]
Mg 0.0068 0.1881 0.2547 [1 per cell]
Mg 0.1392 0.0308 0.4888 [1 per cell]
Mg 0.1478 0.4953 0.9843 [1 per cell]
Mg 0.1981 0.5166 0.4884 [1 per cell]
Mg 0.3547 0.2300 0.8660 [1 per cell]
Mg 0.3859 0.5965 0.2461 [1 per cell]
Mg 0.4210 0.0254 0.2582 [1 per cell]
Mg 0.4515 0.6222 0.7623 [1 per cell]
Mg 0.4929 0.8974 0.0139 [1 per cell]
Mg 0.5660 0.0363 0.7088 [1 per cell]
Mg 0.6953 0.5667 0.9986 [1 per cell]
Mg 0.7386 0.6565 0.5264 [1 per cell]
Mg 0.7559 0.2087 0.4828 [1 per cell]
Mg 0.8341 0.5072 0.2837 [1 per cell]
Mg 0.8708 0.4660 0.7478 [1 per cell]
Si 0.0930 0.2567 0.6691 [1 per cell]
Si 0.1042 0.7374 0.1397 [1 per cell]
Si 0.1487 0.8028 0.8469 [1 per cell]
Si 0.1676 0.7770 0.6340 [1 per cell]
Si 0.3426 0.2969 0.1033 [1 per cell]
Si 0.4325 0.3266 0.3867 [1 per cell]
Si 0.4706 0.3402 0.6073 [1 per cell]
Si 0.6812 0.2424 0.1051 [1 per cell]
Si 0.7184 0.8919 0.3720 [1 per cell]
Si 0.7746 0.2122 0.9139 [1 per cell]
Si 0.7958 0.8258 0.1803 [1 per cell]
Si 0.9380 0.9359 0.7161 [1 per cell]



(8)
Structure and simulated powder X-ray diffraction pattern of Mg3Si4 (a structure optimized by DFT (GGA-PBE); Cu Ka).
Neutral-atom scattering factors, no anomalous dispersion.

Top 10 peaks for 10 to 90 degrees two-theta, in order of rising 2θ:
2θ = 20.20°, I 30, (0 0 2); 2θ = 31.43°, I 100, (1 1 1); 2θ = 32.43°, I 33, (1 -1 2); 2θ = 33.19°, I 77, (-1 1 2); 2θ = 34.40°, I 49, (1 2 0); 2θ = 35.14°, I 38, (-1 2 1); 2θ = 37.93°, I 60, (0 3 -3); 2θ = 40.34°, I 41, (1 -3 1); 2θ = 41.62°, I 28, (1 0 3); 2θ = 47.80°, I 37, (2 0 -1)

Cell and atoms:
Unit cell a=3.8162 b=8.1722 c=9.4303 alpha=109.64 beta=97.33 gamma=91.12
Space group P1 (No. 1)
Inequivalent atoms, fractional coordinates:
Mg 0.0000 0.0000 0.0000 [1 per cell]
Mg 0.0556 0.6414 0.1379 [1 per cell]
Mg 0.3978 0.9136 0.7136 [1 per cell]
Mg 0.5614 0.9890 0.2582 [1 per cell]
Mg 0.6267 0.3271 0.1886 [1 per cell]
Mg 0.9183 0.5592 0.7262 [1 per cell]
Si 0.1122 0.8996 0.4257 [1 per cell]
Si 0.2361 0.5303 0.3933 [1 per cell]
Si 0.4195 0.3203 0.5011 [1 per cell]
Si 0.4821 0.7296 0.9508 [1 per cell]
Si 0.5010 0.4108 0.9257 [1 per cell]
Si 0.7748 0.7060 0.4972 [1 per cell]
Si 0.9362 0.1818 0.5553 [1 per cell]
Si 0.9606 0.2227 0.8231 [1 per cell]



(9)
Structure and simulated powder X-ray diffraction pattern of Mg3Si4 (a structure optimized by DFT (GGA-PBE); Cu Ka).
Neutral-atom scattering factors, no anomalous dispersion.

Top 10 peaks for 10 to 90 degrees two-theta, in order of rising 2θ:
2θ = 33.15°, I 46, (2 1 1); 2θ = 34.17°, I 75, (0 2 -1); 2θ = 35.57°, I 69, (2 2 1); 2θ = 36.25°, I 100, (0 1 3); 2θ = 37.00°, I 32, (2 1 2); 2θ = 37.41°, I 38, (1 3 2); 2θ = 38.83°, I 37, (0 2 3); 2θ = 42.77°, I 47, (2 3 1); 2θ = 44.01°, I 35, (2 -1 1); 2θ = 46.97°, I 31, (2 0 -2)

Cell and atoms:
Unit cell a=5.4433 b=7.4857 c=7.6806 alpha=65.77 beta=75.58 gamma=69.41
Space group P1 (No. 1)
Inequivalent atoms, fractional coordinates:
Mg 0.0000 0.0000 0.0000 [1 per cell]
Mg 0.0011 0.2452 0.5207 [1 per cell]
Mg 0.2741 0.8742 0.3659 [1 per cell]
Mg 0.5367 0.9016 0.6848 [1 per cell]
Mg 0.6085 0.2198 0.2727 [1 per cell]
Mg 0.7198 0.6639 0.0940 [1 per cell]
Si 0.0161 0.5672 0.6427 [1 per cell]
Si 0.0570 0.8185 0.7458 [1 per cell]
Si 0.1199 0.2966 0.1358 [1 per cell]
Si 0.3414 0.5712 0.9906 [1 per cell]
Si 0.4413 0.3257 0.6168 [1 per cell]
Si 0.4517 0.0935 0.9609 [1 per cell]
Si 0.6859 0.3785 0.8157 [1 per cell]
Si 0.8075 0.7869 0.3579 [1 per cell]



(10)
Structure and simulated powder X-ray diffraction pattern of Mg4Si7 (a structure optimized by DFT (GGA-PBE); Cu Ka).
Neutral-atom scattering factors, no anomalous dispersion.

Top 10 peaks for 10 to 90 degrees two-theta, in order of rising 2θ:
2θ = 33.27°, I 100, (1 1 3); 2θ = 35.98°, I 79, (2 0 -5); 2θ = 36.60°, I 19, (2 1 -2); 2θ = 36.85°, I 19, (1 1 4); 2θ = 37.12°, I 75, (0 1 5); 2θ = 38.17°, I 56, (2 1 -3); 2θ = 41.47°, I 19, (3 0 1); 2θ = 47.32°, I 25, (3 1 -2); 2θ = 48.98°, I 52, (0 2 0); 2θ = 52.16°, I 20, (1 1 -8)

Cell and atoms:
Unit cell a=6.7930 b=3.7196 c=16.0956 alpha=90.00 beta=98.21 gamma=90.00
Space group Pm (No. 6)
Inequivalent atoms, fractional coordinates:
Mg 0.0000 0.0000 0.0000 [1 per cell]
Mg 0.0549 0.5000 0.1916 [1 per cell]
Mg 0.2708 0.5000 0.4252 [1 per cell]
Mg 0.4134 0.0000 0.9320 [1 per cell]
Mg 0.5979 0.5000 0.2702 [1 per cell]
Mg 0.7174 0.5000 0.6541 [1 per cell]
Mg 0.8538 0.5000 0.4869 [1 per cell]
Mg 0.9338 0.0000 0.3398 [1 per cell]
Si 0.0317 0.0000 0.6094 [1 per cell]
Si 0.1398 0.5000 0.8330 [1 per cell]
Si 0.2735 0.5000 0.6003 [1 per cell]
Si 0.2976 0.0000 0.2944 [1 per cell]
Si 0.3001 0.5000 0.0618 [1 per cell]
Si 0.3871 0.0000 0.1559 [1 per cell]
Si 0.4131 0.5000 0.7478 [1 per cell]
Si 0.4873 0.0000 0.5454 [1 per cell]
Si 0.5747 0.0000 0.4054 [1 per cell]
Si 0.6444 0.0000 0.7981 [1 per cell]
Si 0.6619 0.5000 0.0463 [1 per cell]
Si 0.7485 0.5000 0.9076 [1 per cell]
Si 0.7514 0.0000 0.1462 [1 per cell]
Si 0.9812 0.0000 0.7564 [1 per cell]



(11)
Structure and simulated powder X-ray diffraction pattern of Mg3Si4 (a structure optimized by DFT (GGA-PBE); Cu Ka).
Neutral-atom scattering factors, no anomalous dispersion.

Top 10 peaks for 10 to 90 degrees two-theta, in order of rising 2θ:
2θ = 31.60°, I 31, (1 2 -2); 2θ = 33.58°, I 36, (1 1 1); 2θ = 34.08°, I 100, (2 1 -1); 2θ = 34.49°, I 96, (-1 2 1); 2θ = 36.27°, I 31, (0 1 2); 2θ = 36.67°, I 64, (1 -2 2); 2θ = 38.24°, I 93, (0 3 -1); 2θ = 38.44°, I 40, (2 -2 0); 2θ = 41.85°, I 35, (2 0 -3); 2θ = 50.42°, I 49, (2 1 -4)

Cell and atoms:
Unit cell a=5.9172 b=7.1073 c=7.5890 alpha=112.16 beta=110.65 gamma=93.62
Space group P1 (No. 1)
Inequivalent atoms, fractional coordinates:
Mg 0.0000 0.0000 0.0000 [1 per cell]
Mg 0.0040 0.7984 0.3200 [1 per cell]
Mg 0.1832 0.4510 0.4642 [1 per cell]
Mg 0.4401 0.7265 0.0080 [1 per cell]
Mg 0.5956 0.2938 0.0084 [1 per cell]
Mg 0.9922 0.1711 0.6960 [1 per cell]
Si 0.1647 0.4466 0.0938 [1 per cell]
Si 0.2197 0.8513 0.7154 [1 per cell]
Si 0.4054 0.1031 0.3744 [1 per cell]
Si 0.5425 0.9620 0.6298 [1 per cell]
Si 0.5808 0.6644 0.3675 [1 per cell]
Si 0.6906 0.4379 0.5307 [1 per cell]
Si 0.7714 0.1316 0.3000 [1 per cell]
Si 0.8222 0.5684 0.9007 [1 per cell]



Copy entry 1 word for word.
Structure and simulated powder X-ray diffraction pattern of Mg3Si4 (a structure optimized by DFT (GGA-PBE); Cu Ka).
Neutral-atom scattering factors, no anomalous dispersion.

Top 10 peaks for 10 to 90 degrees two-theta, in order of rising 2θ:
2θ = 32.80°, I 73, (1 2 2); 2θ = 35.10°, I 52, (0 2 -2); 2θ = 35.55°, I 94, (1 -2 1); 2θ = 35.65°, I 100, (1 1 -2); 2θ = 35.80°, I 59, (1 1 3); 2θ = 38.03°, I 60, (0 1 3); 2θ = 38.76°, I 67, (-1 1 2); 2θ = 38.85°, I 76, (1 3 0); 2θ = 39.16°, I 63, (1 -1 3); 2θ = 40.30°, I 54, (0 3 1)

Cell and atoms:
Unit cell a=5.0426 b=7.2407 c=7.9138 alpha=85.25 beta=71.88 gamma=75.74
Space group P1 (No. 1)
Inequivalent atoms, fractional coordinates:
Mg 0.0000 0.0000 0.0000 [1 per cell]
Mg 0.0342 0.6594 0.7682 [1 per cell]
Mg 0.1368 0.6930 0.3586 [1 per cell]
Mg 0.3642 0.2373 0.1987 [1 per cell]
Mg 0.5254 0.1124 0.7366 [1 per cell]
Mg 0.8084 0.5122 0.1688 [1 per cell]
Si 0.0011 0.3559 0.5687 [1 per cell]
Si 0.1568 0.9908 0.5649 [1 per cell]
Si 0.3513 0.5838 0.9984 [1 per cell]
Si 0.5037 0.4121 0.4968 [1 per cell]
Si 0.5235 0.8623 0.0345 [1 per cell]
Si 0.6019 0.8832 0.3267 [1 per cell]
Si 0.7738 0.3392 0.8820 [1 per cell]
Si 0.8504 0.1295 0.3593 [1 per cell]